Theoretical XRD peak list of Er2Si3 for a wavelength of 1.5418 Å, from a DFT-relaxed cell (PBE, the Materials Project).
Neutral-atom scattering factors, no anomalous dispersion.

Principal peaks in the range 2θ from 15° to 90°, by intensity:
two_theta, Rel. int., hkl
35.0, 100, 1 1 1
26.5, 61, 0 0 2
46.8, 27, 2 0 0
22.5, 21, 0 1 0
59.8, 21, 0 1 4
53.7, 18, 0 2 2
67.6, 18, 2 2 0
52.5, 15, 1 1 3
79.1, 12, 2 1 4
77.8, 10, 1 3 1
45.8, 10, 0 2 0
74.0, 7, 2 2 2

Structure:
```
data_Er2Si3
_chemical_formula_sum 'Er2 Si3'
_space_group_name_H-M_alt 'P m m 2'
_space_group_IT_number 25
_cell_length_a 3.8783
_cell_length_b 3.9584
_cell_length_c 6.7332
_cell_angle_alpha 90.00
_cell_angle_beta 90.00
_cell_angle_gamma 90.00
loop_
_space_group_symop_operation_xyz
'x,y,z'
'-x,-y,z'
'-x,y,z'
'x,-y,z'
loop_
_atom_site_label
_atom_site_type_symbol
_atom_site_fract_x
_atom_site_fract_y
_atom_site_fract_z
Er1 Er 0.0000 0.0000 0.0000
Er2 Er 0.5000 0.0000 0.4929
Si1 Si 0.0000 0.5000 0.3613
Si2 Si 0.5000 0.5000 0.1527
Si3 Si 0.5000 0.5000 0.8072
```